# 1
Starting from a structure optimized by DFT (GGA-PBE), the X-ray powder pattern of CsTl11Hg was calculated for Cu Kα.
Neutral-atom scattering factors, no anomalous dispersion.

Largest 10 diffraction maxima, in order of rising 2θ, 2θ from 15° to 90°:
2θ = 27.01°, rel. 32; 2θ = 31.18°, rel. 100; 2θ = 31.28°, rel. 22; 2θ = 31.43°, rel. 57; 2θ = 31.55°, rel. 34; 2θ = 34.89°, rel. 35; 2θ = 35.05°, rel. 46; 2θ = 35.20°, rel. 68; 2θ = 35.41°, rel. 19; 2θ = 55.59°, rel. 20

Cell and atoms:
abc: 8.7748 8.7748 8.7039
angles: 97.94 97.94 136.25
Sites, in units of the cell vectors:
Cs: 0.0000 0.0000 0.0000
Tl: 0.0000 0.0000 0.5000
Tl: 0.0002 0.3581 0.3606
Tl: 0.0000 0.5000 0.0000
Tl: 0.9998 0.6419 0.6394
Tl: 0.2892 0.5033 0.7809
Tl: 0.3581 0.0002 0.3606
Tl: 0.4967 0.7108 0.2191
Tl: 0.5000 0.0000 0.0000
Tl: 0.5033 0.2892 0.7809
Tl: 0.6419 0.9998 0.6394
Tl: 0.7108 0.4967 0.2191
Hg: 0.5000 0.5000 0.5000

***

# 2
Starting from a structure optimized by DFT (GGA-PBE), the X-ray powder pattern of Cs3Tl2Hg7 was calculated for Cu Kα.
Neutral-atom scattering factors, no anomalous dispersion.

Largest 10 diffraction maxima, in order of rising 2θ, 2θ from 15° to 90°:
2θ = 15.19°, rel. 30; 2θ = 30.26°, rel. 28; 2θ = 31.02°, rel. 100; 2θ = 32.18°, rel. 17; 2θ = 33.29°, rel. 50; 2θ = 33.58°, rel. 28; 2θ = 36.09°, rel. 23; 2θ = 49.13°, rel. 29; 2θ = 53.51°, rel. 33; 2θ = 64.67°, rel. 25

Cell and atoms:
abc: 11.3837 11.3837 11.3837
angles: 35.02 35.02 35.02
Sites, in units of the cell vectors:
Cs: 0.0000 0.0000 0.0000
Cs: 0.1403 0.1403 0.1403
Cs: 0.8597 0.8597 0.8597
Tl: 0.3367 0.3367 0.3367
Tl: 0.6633 0.6633 0.6633
Hg: 0.0751 0.5900 0.5900
Hg: 0.4100 0.4100 0.9249
Hg: 0.4100 0.9249 0.4100
Hg: 0.5000 0.5000 0.5000
Hg: 0.5900 0.0751 0.5900
Hg: 0.5900 0.5900 0.0751
Hg: 0.9249 0.4100 0.4100

***

# 3
Starting from a structure optimized by DFT (GGA-PBE), the X-ray powder pattern of Cs6TlHg3 was calculated for Cu Kα.
Neutral-atom scattering factors, no anomalous dispersion.

Largest 10 diffraction maxima, in order of rising 2θ, 2θ from 15° to 90°:
2θ = 22.12°, rel. 85; 2θ = 22.51°, rel. 92; 2θ = 22.93°, rel. 74; 2θ = 24.82°, rel. 78; 2θ = 28.36°, rel. 87; 2θ = 28.70°, rel. 65; 2θ = 29.01°, rel. 100; 2θ = 29.32°, rel. 51; 2θ = 31.26°, rel. 91; 2θ = 47.05°, rel. 66

Cell and atoms:
abc: 10.8392 8.5082 15.8465
angles: 90.00 122.73 90.00
Sites, in units of the cell vectors:
Cs: 0.0897 0.1143 0.2717
Cs: 0.0897 0.3857 0.7717
Cs: 0.2540 0.0830 0.6108
Cs: 0.2540 0.4170 0.1108
Cs: 0.3779 0.5989 0.5671
Cs: 0.3779 0.9011 0.0671
Cs: 0.6221 0.0989 0.9329
Cs: 0.6221 0.4011 0.4329
Cs: 0.7460 0.5830 0.8892
Cs: 0.7460 0.9170 0.3892
Cs: 0.9103 0.6143 0.2283
Cs: 0.9103 0.8857 0.7283
Tl: 0.5000 0.0000 0.5000
Tl: 0.5000 0.5000 0.0000
Hg: 0.0000 0.0000 0.0000
Hg: 0.0000 0.5000 0.5000
Hg: 0.3468 0.7375 0.8188
Hg: 0.3468 0.7625 0.3188
Hg: 0.6532 0.2375 0.6812
Hg: 0.6532 0.2625 0.1812

***

# 4
Starting from a structure optimized by DFT (GGA-PBE), the X-ray powder pattern of Cs2Tl3Hg4 was calculated for Cu Kα.
Neutral-atom scattering factors, no anomalous dispersion.

Largest 10 diffraction maxima, in order of rising 2θ, 2θ from 15° to 90°:
2θ = 15.20°, rel. 39; 2θ = 26.36°, rel. 44; 2θ = 29.56°, rel. 59; 2θ = 30.71°, rel. 83; 2θ = 32.11°, rel. 50; 2θ = 32.45°, rel. 100; 2θ = 32.56°, rel. 57; 2θ = 49.45°, rel. 22; 2θ = 53.96°, rel. 30; 2θ = 64.46°, rel. 33

Cell and atoms:
abc: 17.5120 16.8525 6.7978
angles: 84.10 73.19 22.71
Sites, in units of the cell vectors:
Cs: 0.0536 0.0536 0.1964
Cs: 0.1964 0.1964 0.0536
Cs: 0.8036 0.8036 0.9464
Cs: 0.9464 0.9464 0.8036
Tl: 0.1207 0.1207 0.6293
Tl: 0.3707 0.3707 0.8793
Tl: 0.3750 0.3750 0.3750
Tl: 0.6250 0.6250 0.6250
Tl: 0.6293 0.6293 0.1207
Tl: 0.8793 0.8793 0.3707
Hg: 0.1017 0.4817 0.3237
Hg: 0.3237 0.5928 0.1017
Hg: 0.4072 0.6763 0.5183
Hg: 0.4817 0.1017 0.5928
Hg: 0.5183 0.8983 0.4072
Hg: 0.5928 0.3237 0.4817
Hg: 0.6763 0.4072 0.8983
Hg: 0.8983 0.5183 0.6763

***

# 5
Starting from a structure optimized by DFT (GGA-PBE), the X-ray powder pattern of Cs2Tl3Hg5 was calculated for Cu Kα.
Neutral-atom scattering factors, no anomalous dispersion.

Largest 10 diffraction maxima, in order of rising 2θ, 2θ from 15° to 90°:
2θ = 15.79°, rel. 31; 2θ = 26.27°, rel. 40; 2θ = 27.76°, rel. 33; 2θ = 28.43°, rel. 64; 2θ = 31.01°, rel. 100; 2θ = 38.41°, rel. 28; 2θ = 39.49°, rel. 26; 2θ = 41.55°, rel. 23; 2θ = 42.45°, rel. 22; 2θ = 43.56°, rel. 20

Cell and atoms:
abc: 10.5396 10.5396 10.5396
angles: 115.64 83.91 132.33
Sites, in units of the cell vectors:
Cs: 0.1298 0.2447 0.3746
Cs: 0.3702 0.7447 0.1149
Cs: 0.6298 0.2553 0.8851
Cs: 0.8702 0.7553 0.6254
Tl: 0.1265 0.8951 0.0215
Tl: 0.2500 0.7500 0.5000
Tl: 0.3735 0.3951 0.7686
Tl: 0.6265 0.6049 0.2314
Tl: 0.7500 0.2500 0.5000
Tl: 0.8735 0.1049 0.9785
Hg: 0.0104 0.7500 0.2604
Hg: 0.1213 0.6207 0.7419
Hg: 0.2500 0.2500 0.0000
Hg: 0.3787 0.1207 0.4994
Hg: 0.4896 0.7500 0.7396
Hg: 0.5104 0.2500 0.2604
Hg: 0.6213 0.8793 0.5006
Hg: 0.7500 0.7500 0.0000
Hg: 0.8787 0.3793 0.2581
Hg: 0.9896 0.2500 0.7396

***

# 6
Starting from a structure optimized by DFT (GGA-PBE), the X-ray powder pattern of Cs2TlHg5 was calculated for Cu Kα.
Neutral-atom scattering factors, no anomalous dispersion.

Largest 10 diffraction maxima, in order of rising 2θ, 2θ from 15° to 90°:
2θ = 23.63°, rel. 41; 2θ = 23.80°, rel. 41; 2θ = 26.45°, rel. 97; 2θ = 28.48°, rel. 30; 2θ = 28.63°, rel. 30; 2θ = 28.99°, rel. 32; 2θ = 29.10°, rel. 34; 2θ = 31.67°, rel. 59; 2θ = 35.34°, rel. 100; 2θ = 39.47°, rel. 59

Cell and atoms:
abc: 9.9849 11.3026 7.5395
angles: 90.00 131.04 90.00
Sites, in units of the cell vectors:
Cs: 0.0000 0.1938 0.0000
Cs: 0.0000 0.8062 0.0000
Cs: 0.5000 0.3062 0.0000
Cs: 0.5000 0.6938 0.0000
Tl: 0.4915 0.0000 0.3077
Tl: 0.9915 0.5000 0.3077
Hg: 0.0037 0.2461 0.5015
Hg: 0.0037 0.7539 0.5015
Hg: 0.0257 0.5000 0.7584
Hg: 0.2088 0.0000 0.7465
Hg: 0.3026 0.5000 0.3152
Hg: 0.5037 0.2539 0.5015
Hg: 0.5037 0.7461 0.5015
Hg: 0.5257 0.0000 0.7584
Hg: 0.7088 0.5000 0.7465
Hg: 0.8026 0.0000 0.3152

***

# 7
Starting from a structure optimized by DFT (GGA-PBE), the X-ray powder pattern of Cs2ZnHg was calculated for Cu Kα.
Neutral-atom scattering factors, no anomalous dispersion.

Largest 10 diffraction maxima, in order of rising 2θ, 2θ from 15° to 90°:
2θ = 24.65°, rel. 100; 2θ = 25.05°, rel. 96; 2θ = 35.14°, rel. 40; 2θ = 35.43°, rel. 78; 2θ = 43.64°, rel. 22; 2θ = 47.98°, rel. 33; 2θ = 50.76°, rel. 28; 2θ = 57.02°, rel. 20; 2θ = 57.22°, rel. 19; 2θ = 60.85°, rel. 32

Cell and atoms:
abc: 10.2154 10.2154 8.1675
angles: 90.00 90.00 90.00
Sites, in units of the cell vectors:
Cs: 0.2449 0.2500 0.1250
Cs: 0.2500 0.7449 0.3750
Cs: 0.2500 0.7551 0.8750
Cs: 0.2551 0.2500 0.6250
Cs: 0.7449 0.7500 0.6250
Cs: 0.7500 0.2449 0.8750
Cs: 0.7500 0.2551 0.3750
Cs: 0.7551 0.7500 0.1250
Zn: 0.0000 0.0000 0.0000
Zn: 0.0000 0.5000 0.2500
Zn: 0.5000 0.0000 0.7500
Zn: 0.5000 0.5000 0.5000
Hg: 0.0000 0.0000 0.5000
Hg: 0.0000 0.5000 0.7500
Hg: 0.5000 0.0000 0.2500
Hg: 0.5000 0.5000 0.0000